1.
Starting from a cell relaxed with GGA+U, the powder XRD pattern of Mn3OF5 was simulated for copper Kα.
Kinematic intensities with the Lorentz-polarization factor, no thermal factor.

Structure:
Cell: 10.774 10.774 3.246 Å, 90.00 90.00 141.66°
Fractional coordinates of all 18 atoms:
Mn: 0.000 0.000 0.000
Mn: 0.152 0.848 0.500
Mn: 0.328 0.672 0.000
Mn: 0.500 0.500 0.500
Mn: 0.672 0.328 0.000
Mn: 0.848 0.152 0.500
O: 0.094 0.906 0.000
O: 0.906 0.094 0.000
F: 0.136 0.473 0.500
F: 0.192 0.192 0.500
F: 0.222 0.778 0.000
F: 0.433 0.567 0.000
F: 0.473 0.136 0.500
F: 0.527 0.864 0.500
F: 0.567 0.433 0.000
F: 0.778 0.222 0.000
F: 0.808 0.808 0.500
F: 0.864 0.527 0.500

Largest 10 diffraction maxima, in order of rising 2θ, 10 to 90 degrees two-theta:
| 2θ (°) | Rel. int. |
| --- | --- |
| 25.17 | 100 |
| 26.27 | 84 |
| 33.11 | 91 |
| 37.61 | 23 |
| 38.38 | 16 |
| 49.63 | 64 |
| 50.87 | 45 |
| 51.67 | 19 |
| 56.72 | 20 |
| 63.82 | 39 |

***

2.
Starting from a cell relaxed with GGA+U, the powder XRD pattern of VH12SO11 was simulated for copper Kα.
Kinematic intensities with the Lorentz-polarization factor, no thermal factor.

Structure:
Cell: 6.226 7.561 10.251 Å, 91.54 101.36 95.94°
Fractional coordinates of all 50 atoms:
V: 0.070 0.269 0.282
V: 0.930 0.731 0.718
H: 0.012 0.047 0.850
H: 0.125 0.431 0.697
H: 0.132 0.617 0.381
H: 0.175 0.309 0.029
H: 0.193 0.507 0.091
H: 0.230 0.875 0.491
H: 0.259 0.994 0.191
H: 0.294 0.744 0.913
H: 0.344 0.875 0.795
H: 0.395 0.856 0.390
H: 0.482 0.443 0.311
H: 0.500 0.289 0.422
H: 0.500 0.711 0.578
H: 0.518 0.557 0.689
H: 0.605 0.144 0.610
H: 0.656 0.125 0.205
H: 0.706 0.256 0.087
H: 0.741 0.006 0.809
H: 0.770 0.125 0.509
H: 0.807 0.493 0.909
H: 0.825 0.691 0.971
H: 0.868 0.383 0.619
H: 0.875 0.569 0.303
H: 0.988 0.953 0.150
S: 0.437 0.233 0.830
S: 0.563 0.767 0.170
O: 0.023 0.525 0.327
O: 0.034 0.166 0.417
O: 0.116 0.047 0.172
O: 0.127 0.383 0.097
O: 0.253 0.182 0.899
O: 0.255 0.765 0.815
O: 0.324 0.796 0.457
O: 0.360 0.700 0.072
O: 0.376 0.371 0.732
O: 0.402 0.339 0.346
O: 0.483 0.070 0.755
O: 0.517 0.930 0.245
O: 0.598 0.661 0.654
O: 0.624 0.629 0.268
O: 0.640 0.300 0.928
O: 0.676 0.204 0.543
O: 0.745 0.235 0.185
O: 0.747 0.818 0.101
O: 0.873 0.617 0.903
O: 0.884 0.953 0.828
O: 0.966 0.834 0.583
O: 0.977 0.475 0.673

Largest 10 diffraction maxima, in order of rising 2θ, 10 to 90 degrees two-theta:
| 2θ (°) | Rel. int. |
| --- | --- |
| 17.67 | 88 |
| 18.75 | 66 |
| 20.21 | 41 |
| 20.87 | 100 |
| 21.77 | 24 |
| 23.12 | 56 |
| 23.69 | 58 |
| 28.67 | 32 |
| 30.97 | 38 |
| 32.51 | 32 |

***

3.
Starting from a cell relaxed with GGA+U, the powder XRD pattern of Na3FeSiBO7 was simulated for copper Kα.
Kinematic intensities with the Lorentz-polarization factor, no thermal factor.

Structure:
Cell: 5.277 6.695 8.962 Å, 90.00 91.93 90.00°
Fractional coordinates of all 26 atoms:
Na: 0.233 0.250 0.089
Na: 0.259 0.509 0.733
Na: 0.259 0.991 0.733
Na: 0.741 0.009 0.267
Na: 0.741 0.491 0.267
Na: 0.767 0.750 0.911
Fe: 0.212 0.750 0.343
Fe: 0.788 0.250 0.657
Si: 0.279 0.250 0.423
Si: 0.721 0.750 0.577
B: 0.270 0.750 0.065
B: 0.730 0.250 0.935
O: 0.033 0.750 0.127
O: 0.121 0.250 0.578
O: 0.215 0.055 0.317
O: 0.215 0.445 0.317
O: 0.312 0.750 0.918
O: 0.414 0.750 0.529
O: 0.465 0.750 0.174
O: 0.535 0.250 0.826
O: 0.586 0.250 0.471
O: 0.688 0.250 0.082
O: 0.785 0.555 0.683
O: 0.785 0.945 0.683
O: 0.879 0.750 0.422
O: 0.967 0.250 0.873

Largest 10 diffraction maxima, in order of rising 2θ, 10 to 90 degrees two-theta:
| 2θ (°) | Rel. int. |
| --- | --- |
| 16.53 | 46 |
| 19.82 | 45 |
| 26.62 | 99 |
| 33.06 | 51 |
| 33.42 | 96 |
| 34.00 | 100 |
| 37.60 | 29 |
| 41.40 | 30 |
| 48.95 | 53 |
| 54.85 | 35 |